Entry 1:
This entry pairs a crystal structure of TePdPbO6 with its computed X-ray diffraction stick pattern. Radiation: copper Kα. Structure: a DFT-relaxed cell (PBE, Alexandria).
No peak broadening, texture or thermal motion is included.

Structure:
```
data_TePdPbO6
_chemical_formula_sum 'Te2 Pd2 Pb2 O12'
_space_group_name_H-M_alt 'P -3 1 c'
_space_group_IT_number 163
_space_group_name_Hall '-P 3 2c'
_cell_length_a 5.2946
_cell_length_b 5.2946
_cell_length_c 10.8888
_cell_angle_alpha 90.00
_cell_angle_beta 90.00
_cell_angle_gamma 120.00
loop_
_atom_site_label
_atom_site_type_symbol
_atom_site_fract_x
_atom_site_fract_y
_atom_site_fract_z
Te1 Te 0.3333 0.6667 0.2500
Pd1 Pd 0.3333 0.6667 0.7500
Pb1 Pb 0.0000 0.0000 0.0000
O1 O 0.0093 0.3772 0.1483
```

Principal peaks in the range 10° ≤ 2θ ≤ 90°, by angle:
- hkl 1 0 2, 25.40°, I = 100
- hkl 0 0 4, 32.90°, I = 10
- hkl 1 1 0, 33.86°, I = 34
- hkl 2 0 2, 42.80°, I = 23
- hkl 1 1 4, 47.93°, I = 39
- hkl 1 0 6, 54.37°, I = 12
- hkl 2 1 2, 55.66°, I = 23
- hkl 3 0 0, 60.58°, I = 11
- hkl 3 0 4, 70.68°, I = 8
- hkl 3 -1 6, 75.92°, I = 9
- hkl 4 -1 2, 77.00°, I = 9
- hkl 4 -2 4, 80.72°, I = 8

---

Entry 2:
This entry pairs a crystal structure of HgSO4F with its computed X-ray diffraction stick pattern. Radiation: copper Kα. Structure: a DFT-relaxed cell (PBE, Alexandria).
No peak broadening, texture or thermal motion is included.

Structure:
```
data_HgSO4F
_chemical_formula_sum 'Hg4 S4 O16 F4'
_space_group_name_H-M_alt 'C 1 2/m 1'
_space_group_IT_number 12
_space_group_name_Hall '-C 2y'
_cell_length_a 10.986
_cell_length_b 7.384
_cell_length_c 5.888
_cell_angle_alpha 90.00
_cell_angle_beta 103.20
_cell_angle_gamma 90.00
loop_
_atom_site_label
_atom_site_type_symbol
_atom_site_fract_x
_atom_site_fract_y
_atom_site_fract_z
Hg1 Hg 0.162 0.000 0.035
S1 S 0.158 0.500 0.286
O1 O 0.019 0.500 0.210
O2 O 0.188 0.500 0.542
O3 O 0.214 0.340 0.187
F1 F 0.028 0.000 0.247
```

Principal peaks in the range 10° ≤ 2θ ≤ 90°, by angle:
- hkl 1 1 0, 14.58°, I = 36
- hkl 0 0 1, 15.46°, I = 100
- hkl 2 0 0, 16.58°, I = 32
- hkl 1 1 -1, 19.87°, I = 35
- hkl 1 1 1, 22.66°, I = 30
- hkl 0 2 0, 24.11°, I = 79
- hkl 2 0 1, 25.24°, I = 28
- hkl 3 1 0, 27.79°, I = 27
- hkl 0 2 1, 28.76°, I = 38
- hkl 3 1 -1, 28.95°, I = 54
- hkl 3 1 1, 34.72°, I = 44
- hkl 3 1 -2, 37.52°, I = 29

---

Entry 3:
This entry pairs a crystal structure of Ca2GaCu3Ni12 with its computed X-ray diffraction stick pattern. Radiation: copper Kα. Structure: a DFT-relaxed cell (PBE, Alexandria).
No peak broadening, texture or thermal motion is included.

Structure:
```
data_Ca2GaCu3Ni12
_chemical_formula_sum 'Ca6 Ga3 Cu9 Ni36'
_space_group_name_H-M_alt 'R -3 m'
_space_group_IT_number 166
_space_group_name_Hall '-R 3 2"'
_cell_length_a 5.9028
_cell_length_b 5.9028
_cell_length_c 26.4443
_cell_angle_alpha 90.00
_cell_angle_beta 90.00
_cell_angle_gamma 120.00
loop_
_atom_site_label
_atom_site_type_symbol
_atom_site_fract_x
_atom_site_fract_y
_atom_site_fract_z
Ca1 Ca 0.0000 0.0000 0.1516
Ga1 Ga 0.0000 0.0000 0.5000
Cu1 Cu 0.0000 0.5000 0.0000
Ni1 Ni 0.0574 0.5287 0.0937
Ni2 Ni 0.0725 0.5362 0.6158
```

Principal peaks in the range 10° ≤ 2θ ≤ 90°, by angle:
- hkl 0 0 3, 10.03°, I = 100
- hkl 1 1 3, 31.98°, I = 63
- hkl 0 1 8, 32.25°, I = 30
- hkl 2 0 2, 35.78°, I = 73
- hkl 0 2 4, 37.73°, I = 37
- hkl 1 0 10, 38.32°, I = 36
- hkl 0 1 11, 41.51°, I = 47
- hkl 2 0 8, 44.82°, I = 64
- hkl 1 2 2, 47.56°, I = 57
- hkl 0 2 10, 49.60°, I = 66
- hkl 3 0 6, 57.99°, I = 68
- hkl 2 2 0, 63.01°, I = 55

---

Entry 4:
This entry pairs a crystal structure of PdRu3 with its computed X-ray diffraction stick pattern. Radiation: copper Kα. Structure: a DFT-relaxed cell (PBE, Alexandria).
No peak broadening, texture or thermal motion is included.

Structure:
```
data_PdRu3
_chemical_formula_sum 'Pd2 Ru6'
_space_group_name_H-M_alt 'I m m 2'
_space_group_IT_number 44
_space_group_name_Hall 'I 2 -2'
_cell_length_a 2.746
_cell_length_b 8.738
_cell_length_c 4.742
_cell_angle_alpha 90.00
_cell_angle_beta 90.00
_cell_angle_gamma 90.00
loop_
_atom_site_label
_atom_site_type_symbol
_atom_site_fract_x
_atom_site_fract_y
_atom_site_fract_z
Pd1 Pd 0.000 0.000 0.000
Ru1 Ru 0.000 0.245 0.341
Ru2 Ru 0.000 0.500 0.004
```

Principal peaks in the range 10° ≤ 2θ ≤ 90°, by angle:
- hkl 0 0 2, 37.90°, I = 25
- hkl 0 4 0, 41.33°, I = 25
- hkl 1 2 1, 43.37°, I = 100
- hkl 0 4 2, 57.31°, I = 14
- hkl 2 0 0, 68.33°, I = 6
- hkl 1 0 3, 68.49°, I = 11
- hkl 1 6 1, 76.77°, I = 18
- hkl 2 4 0, 83.09°, I = 6
- hkl 1 4 3, 83.25°, I = 13
- hkl 2 2 2, 84.51°, I = 9
- hkl 0 2 4, 84.72°, I = 5
- hkl 0 8 0, 89.79°, I = 3

---

Entry 5:
This entry pairs a crystal structure of NaPmGa2Au2 with its computed X-ray diffraction stick pattern. Radiation: copper Kα. Structure: a DFT-relaxed cell (PBE, Alexandria).
No peak broadening, texture or thermal motion is included.

Structure:
```
data_NaPmGa2Au2
_chemical_formula_sum 'Na1 Pm1 Ga2 Au2'
_space_group_name_H-M_alt 'P -3 m 1'
_space_group_IT_number 164
_space_group_name_Hall '-P 3 2"'
_cell_length_a 4.5958
_cell_length_b 4.5958
_cell_length_c 6.8962
_cell_angle_alpha 90.00
_cell_angle_beta 90.00
_cell_angle_gamma 120.00
loop_
_atom_site_label
_atom_site_type_symbol
_atom_site_fract_x
_atom_site_fract_y
_atom_site_fract_z
Na1 Na 0.0000 0.0000 0.0000
Pm1 Pm 0.0000 0.0000 0.5000
Ga1 Ga 0.3333 0.6667 0.7742
Au1 Au 0.3333 0.6667 0.2396
```

Principal peaks in the range 10° ≤ 2θ ≤ 90°, by angle:
- hkl 1 0 1, 25.84°, I = 96
- hkl 0 1 2, 34.41°, I = 100
- hkl 1 1 0, 39.20°, I = 98
- hkl 0 1 3, 45.57°, I = 14
- hkl 0 2 1, 47.55°, I = 43
- hkl 0 0 4, 53.13°, I = 40
- hkl 1 1 3, 56.64°, I = 9
- hkl 2 1 1, 63.27°, I = 13
- hkl 1 1 4, 67.98°, I = 60
- hkl 3 0 0, 71.05°, I = 16
- hkl 1 0 5, 72.54°, I = 8
- hkl 2 2 0, 84.28°, I = 14

---

Entry 6:
This entry pairs a crystal structure of La4ErS7 with its computed X-ray diffraction stick pattern. Radiation: copper Kα. Structure: a DFT-relaxed cell (PBE, Alexandria).
No peak broadening, texture or thermal motion is included.

Structure:
```
data_La4ErS7
_chemical_formula_sum 'La8 Er2 S14'
_space_group_name_H-M_alt 'C 1 m 1'
_space_group_IT_number 8
_space_group_name_Hall 'C -2y'
_cell_length_a 13.499
_cell_length_b 4.004
_cell_length_c 11.942
_cell_angle_alpha 90.00
_cell_angle_beta 105.64
_cell_angle_gamma 90.00
loop_
_atom_site_label
_atom_site_type_symbol
_atom_site_fract_x
_atom_site_fract_y
_atom_site_fract_z
La1 La 0.000 0.000 0.000
La2 La 0.087 0.500 0.378
La3 La 0.192 0.000 0.766
La4 La 0.388 0.500 0.569
Er1 Er 0.276 0.500 0.149
S1 S 0.048 0.500 0.623
S2 S 0.132 0.500 0.933
S3 S 0.161 0.000 0.219
S4 S 0.227 0.000 0.521
S5 S 0.347 0.500 0.788
S6 S 0.380 0.000 0.076
S7 S 0.428 0.500 0.348
```

Principal peaks in the range 10° ≤ 2θ ≤ 90°, by angle:
- hkl 2 0 2, 23.25°, I = 100
- hkl 2 0 -3, 23.55°, I = 69
- hkl 1 1 1, 25.10°, I = 31
- hkl 4 0 -1, 26.41°, I = 33
- hkl 3 1 -1, 29.95°, I = 34
- hkl 3 1 -2, 31.53°, I = 49
- hkl 3 1 1, 32.79°, I = 33
- hkl 3 1 -3, 34.89°, I = 21
- hkl 1 1 -4, 37.61°, I = 21
- hkl 1 1 4, 40.74°, I = 33
- hkl 6 0 -4, 45.10°, I = 21
- hkl 0 2 0, 45.29°, I = 29

---

Entry 7:
This entry pairs a crystal structure of CeThPd with its computed X-ray diffraction stick pattern. Radiation: copper Kα. Structure: a DFT-relaxed cell (PBE, Alexandria).
No peak broadening, texture or thermal motion is included.

Structure:
```
data_CeThPd
_chemical_formula_sum 'Ce4 Th4 Pd4'
_space_group_name_H-M_alt 'P n m a'
_space_group_IT_number 62
_space_group_name_Hall '-P 2ac 2n'
_cell_length_a 6.834
_cell_length_b 5.118
_cell_length_c 8.923
_cell_angle_alpha 90.00
_cell_angle_beta 90.00
_cell_angle_gamma 90.00
loop_
_atom_site_label
_atom_site_type_symbol
_atom_site_fract_x
_atom_site_fract_y
_atom_site_fract_z
Ce1 Ce 0.019 0.250 0.195
Th1 Th 0.170 0.750 0.403
Pd1 Pd 0.246 0.750 0.070
```

Principal peaks in the range 10° ≤ 2θ ≤ 90°, by angle:
- hkl 1 0 2, 23.86°, I = 23
- hkl 2 0 1, 27.96°, I = 18
- hkl 1 1 2, 29.60°, I = 57
- hkl 2 1 0, 31.48°, I = 18
- hkl 2 1 1, 33.06°, I = 100
- hkl 0 1 3, 34.89°, I = 81
- hkl 0 2 0, 35.07°, I = 58
- hkl 3 0 1, 40.89°, I = 17
- hkl 2 2 2, 48.93°, I = 19
- hkl 3 2 1, 54.94°, I = 14
- hkl 3 1 4, 60.88°, I = 15
- hkl 0 3 3, 62.77°, I = 21

---

Entry 8:
This entry pairs a crystal structure of Gd3SbO7 with its computed X-ray diffraction stick pattern. Radiation: copper Kα. Structure: a DFT-relaxed cell (PBE, Alexandria).
No peak broadening, texture or thermal motion is included.

Structure:
```
data_Gd3SbO7
_chemical_formula_sum 'Gd12 Sb4 O28'
_space_group_name_H-M_alt 'P n m a'
_space_group_IT_number 62
_space_group_name_Hall '-P 2ac 2n'
_cell_length_a 7.560
_cell_length_b 10.716
_cell_length_c 7.619
_cell_angle_alpha 90.00
_cell_angle_beta 90.00
_cell_angle_gamma 90.00
loop_
_atom_site_label
_atom_site_type_symbol
_atom_site_fract_x
_atom_site_fract_y
_atom_site_fract_z
Gd1 Gd 0.009 0.250 0.217
Gd2 Gd 0.246 0.020 0.532
Sb1 Sb 0.001 0.750 0.246
O1 O 0.033 0.125 0.949
O2 O 0.036 0.615 0.421
O3 O 0.246 0.616 0.767
O4 O 0.247 0.250 0.662
```

Principal peaks in the range 10° ≤ 2θ ≤ 90°, by angle:
- hkl 0 2 2, 28.75°, I = 97
- hkl 2 2 0, 28.91°, I = 100
- hkl 2 0 2, 33.41°, I = 71
- hkl 1 5 1, 45.60°, I = 10
- hkl 2 4 2, 47.99°, I = 51
- hkl 4 0 0, 48.15°, I = 17
- hkl 2 2 4, 56.78°, I = 19
- hkl 2 6 0, 56.99°, I = 22
- hkl 4 2 2, 57.05°, I = 27
- hkl 4 4 0, 59.89°, I = 10
- hkl 4 4 4, 80.02°, I = 10
- hkl 6 4 2, 89.77°, I = 11

---

Entry 9:
This entry pairs a crystal structure of KDyTiO4 with its computed X-ray diffraction stick pattern. Radiation: copper Kα. Structure: a DFT-relaxed cell (PBE, Alexandria).
No peak broadening, texture or thermal motion is included.

Structure:
```
data_KDyTiO4
_chemical_formula_sum 'K4 Dy4 Ti4 O16'
_space_group_name_H-M_alt 'P b c m'
_space_group_IT_number 57
_space_group_name_Hall '-P 2c 2b'
_cell_length_a 13.015
_cell_length_b 5.513
_cell_length_c 5.403
_cell_angle_alpha 90.00
_cell_angle_beta 90.00
_cell_angle_gamma 90.00
loop_
_atom_site_label
_atom_site_type_symbol
_atom_site_fract_x
_atom_site_fract_y
_atom_site_fract_z
K1 K 0.096 0.021 0.250
Dy1 Dy 0.399 0.027 0.250
Ti1 Ti 0.256 0.507 0.250
O1 O 0.121 0.534 0.250
O2 O 0.274 0.250 0.000
O3 O 0.302 0.750 0.000
O4 O 0.440 0.075 0.750
```

Principal peaks in the range 10° ≤ 2θ ≤ 90°, by angle:
- hkl 1 1 1, 24.06°, I = 11
- hkl 2 1 1, 26.86°, I = 43
- hkl 3 1 1, 31.02°, I = 100
- hkl 0 2 0, 32.48°, I = 26
- hkl 0 0 2, 33.17°, I = 36
- hkl 6 0 0, 41.64°, I = 13
- hkl 0 2 2, 47.10°, I = 29
- hkl 5 2 0, 48.11°, I = 14
- hkl 6 0 2, 54.23°, I = 13
- hkl 3 3 1, 57.03°, I = 16
- hkl 3 1 3, 57.91°, I = 17
- hkl 6 2 2, 64.66°, I = 11

---

Entry 10:
This entry pairs a crystal structure of SO3 with its computed X-ray diffraction stick pattern. Radiation: copper Kα. Structure: a DFT-relaxed cell (PBE, Alexandria).
No peak broadening, texture or thermal motion is included.

Structure:
```
data_SO3
_chemical_formula_sum 'S12 O36'
_space_group_name_H-M_alt 'P n a 21'
_space_group_IT_number 33
_space_group_name_Hall 'P 2c -2n'
_cell_length_a 11.374
_cell_length_b 12.851
_cell_length_c 5.505
_cell_angle_alpha 90.00
_cell_angle_beta 90.00
_cell_angle_gamma 90.00
loop_
_atom_site_label
_atom_site_type_symbol
_atom_site_fract_x
_atom_site_fract_y
_atom_site_fract_z
S1 S 0.134 0.080 0.000
S2 S 0.143 0.647 0.296
S3 S 0.195 0.427 0.341
O1 O 0.016 0.099 0.931
O2 O 0.088 0.650 0.526
O3 O 0.115 0.711 0.095
O4 O 0.141 0.421 0.573
O5 O 0.141 0.527 0.186
O6 O 0.168 0.968 0.868
O7 O 0.177 0.082 0.242
O8 O 0.201 0.345 0.171
O9 O 0.212 0.158 0.825
```

Principal peaks in the range 10° ≤ 2θ ≤ 90°, by angle:
- hkl 0 2 0, 13.78°, I = 19
- hkl 2 0 0, 15.58°, I = 24
- hkl 1 2 0, 15.84°, I = 15
- hkl 0 1 1, 17.53°, I = 10
- hkl 1 1 1, 19.20°, I = 100
- hkl 2 0 1, 22.48°, I = 23
- hkl 1 2 1, 22.66°, I = 10
- hkl 2 3 0, 26.04°, I = 15
- hkl 3 2 0, 27.31°, I = 10
- hkl 0 4 0, 27.77°, I = 9
- hkl 2 3 1, 30.77°, I = 8
- hkl 4 0 0, 31.47°, I = 10

---

Entry 11:
This entry pairs a crystal structure of Sm2HoGe3 with its computed X-ray diffraction stick pattern. Radiation: copper Kα. Structure: a DFT-relaxed cell (PBE, Alexandria).
No peak broadening, texture or thermal motion is included.

Structure:
```
data_Sm2HoGe3
_chemical_formula_sum 'Sm4 Ho2 Ge6'
_space_group_name_H-M_alt 'I m m m'
_space_group_IT_number 71
_space_group_name_Hall '-I 2 2'
_cell_length_a 4.225
_cell_length_b 5.939
_cell_length_c 12.536
_cell_angle_alpha 90.00
_cell_angle_beta 90.00
_cell_angle_gamma 90.00
loop_
_atom_site_label
_atom_site_type_symbol
_atom_site_fract_x
_atom_site_fract_y
_atom_site_fract_z
Sm1 Sm 0.000 0.000 0.168
Ho1 Ho 0.000 0.000 0.500
Ge1 Ge 0.000 0.500 0.162
Ge2 Ge 0.000 0.500 0.500
```

Principal peaks in the range 10° ≤ 2θ ≤ 90°, by angle:
- hkl 1 1 0, 25.88°, I = 11
- hkl 0 1 3, 26.07°, I = 11
- hkl 0 2 0, 30.08°, I = 100
- hkl 2 0 0, 42.81°, I = 13
- hkl 1 2 3, 43.07°, I = 50
- hkl 0 0 6, 43.30°, I = 12
- hkl 2 2 0, 53.21°, I = 13
- hkl 0 2 6, 53.63°, I = 13
- hkl 0 4 0, 62.54°, I = 12
- hkl 1 4 3, 70.95°, I = 22
- hkl 3 2 3, 78.59°, I = 8
- hkl 1 2 9, 79.28°, I = 8